The following is a theoretical X-ray powder pattern of ZrIn4Pd15. It was derived from a GGA-PBE-relaxed structure, using Cu Kα (λ = 1.5418 Å).
Neutral-atom scattering factors, no anomalous dispersion.

Atomic structure:
```
20
Lattice="4.038 0.000 0.000 0.000 4.038 0.000 0.000 0.000 20.199" Properties=species:S:1:pos:R:3 pbc="T T T"
Zr 0.000 0.000 0.000
In 0.000 0.000 4.070
In 0.000 0.000 8.076
In 0.000 0.000 12.123
In 0.000 0.000 16.129
Pd 0.000 2.019 1.987
Pd 0.000 2.019 6.057
Pd 0.000 2.019 10.099
Pd 0.000 2.019 14.142
Pd 0.000 2.019 18.212
Pd 2.019 0.000 1.987
Pd 2.019 0.000 6.057
Pd 2.019 0.000 10.099
Pd 2.019 0.000 14.142
Pd 2.019 0.000 18.212
Pd 2.019 2.019 0.000
Pd 2.019 2.019 4.010
Pd 2.019 2.019 8.085
Pd 2.019 2.019 12.114
Pd 2.019 2.019 16.189
```

Main lines, low angle first (15 to 90 degrees two-theta):
| two_theta | I (rel.) | index |
| --- | --- | --- |
| 38.62 | 100 | 1 1 5 |
| 44.89 | 49 | 2 0 0 |
| 65.36 | 31 | 2 2 0 |
| 78.56 | 36 | 3 1 5 |
| 82.80 | 11 | 2 2 10 |